Diffraction record for LaNiRh. The X-ray diffraction stick pattern is theoretical, not measured: it uses a DFT-relaxed cell (PBE, Alexandria) and Cu Ka.
Peak positions follow from Bragg's law for the DFT cell and can differ from measured ones.

Principal peaks in the range 10° ≤ 2θ ≤ 80°, sorted by position:
| 2θ/deg | I_rel |
| --- | --- |
| 33.71 | 65 |
| 34.91 | 25 |
| 38.77 | 100 |
| 39.55 | 32 |
| 40.13 | 40 |
| 40.48 | 81 |
| 42.66 | 29 |
| 63.13 | 14 |
| 65.18 | 21 |
| 70.89 | 36 |

Atomic structure:
```
data_LaNiRh
_chemical_formula_sum 'La2 Ni2 Rh2'
_cell_length_a 5.325
_cell_length_b 5.325
_cell_length_c 5.325
_cell_angle_alpha 122.29
_cell_angle_beta 117.15
_cell_angle_gamma 90.54
_symmetry_space_group_name_H-M 'P 1'
_symmetry_Int_Tables_number 1
_symmetry_space_group_name_Hall 'P 1'
loop_
_atom_site_label
_atom_site_type_symbol
_atom_site_fract_x
_atom_site_fract_y
_atom_site_fract_z
_atom_site_occupancy
La1 La 0.370 0.120 0.250 1
La2 La 0.630 0.880 0.750 1
Ni1 Ni 0.000 0.000 0.500 1
Ni2 Ni 0.000 0.500 0.000 1
Rh1 Rh 0.000 0.500 0.500 1
Rh2 Rh 0.500 0.500 0.000 1
```